# LiAlSi2H2O7
Simulated powder XRD pattern, Cu Ka. Input: the GGA-PBE geometry in Alexandria.

Top 10 peaks for 2θ from 15° to 90°, by intensity:
(1 0 -1), 21.01 deg, I 100
(0 2 0), 25.39 deg, I 76
(0 2 -2), 26.01 deg, I 58
(-1 1 1), 26.92 deg, I 36
(2 0 0), 35.93 deg, I 34
(1 1 -2), 27.37 deg, I 32
(1 1 -3), 35.78 deg, I 29
(0 1 1), 20.08 deg, I 23
(1 0 2), 28.75 deg, I 22
(1 1 2), 35.20 deg, I 15

```
26
Lattice="4.9986 0.0000 0.0000 -0.0143 7.7118 0.0000 -0.0056 -3.6132 7.9273" Properties=species:S:1:pos:R:3 pbc="T T T"
Li 0.0000 0.0000 0.0000
Li 2.4744 4.1620 3.0582
Al 0.0153 6.0550 2.5388
Al 2.4738 4.5671 6.3319
Si 2.1564 0.0640 6.4001
Si 2.5216 5.9636 0.6272
Si 4.6649 0.6991 4.7267
Si 4.9775 3.8355 4.6980
H 1.4812 2.1509 1.7122
H 2.2003 1.6345 2.9885
H 3.9722 1.9821 1.3589
H 4.7100 2.5076 0.0942
O 0.1242 -0.2110 3.4917
O 0.5820 0.4049 6.0629
O 1.5704 4.1834 4.8561
O 1.6244 5.6071 1.9493
O 1.8631 3.5702 7.6758
O 2.2937 2.2865 2.2652
O 2.3113 -1.4828 6.7919
O 2.6281 0.9719 7.6717
O 3.0794 0.4676 5.0986
O 4.0290 6.3838 1.1048
O 4.1815 4.1627 6.0930
O 4.3461 4.6888 3.4476
O 4.7956 1.8575 0.8194
O 4.8133 2.2624 4.2863
```

# LiAlSi2H2O7
Simulated powder XRD pattern, Cu Ka. Input: the GGA-PBE geometry in Alexandria.

Top 10 peaks for 2θ from 15° to 90°, by intensity:
(0 2 0), 25.18 deg, I 100
(1 0 -1), 21.20 deg, I 97
(1 0 1), 20.74 deg, I 83
(0 2 2), 26.81 deg, I 47
(1 1 -1), 26.53 deg, I 42
(0 1 -1), 19.75 deg, I 39
(2 0 0), 35.76 deg, I 39
(1 0 2), 28.41 deg, I 29
(1 -1 1), 26.69 deg, I 27
(-1 2 3), 39.29 deg, I 24

```
26
Lattice="5.0282 0.0000 0.0000 0.3142 7.6289 0.0000 0.3105 3.1922 7.8944" Properties=species:S:1:pos:R:3 pbc="T T T"
Li 0.0000 0.0000 0.0000
Li 2.6372 3.4823 3.2209
Al 2.4829 2.0286 0.7031
Al 5.1932 3.9694 4.7338
Si 2.2237 7.8365 6.7279
Si 2.7169 3.2097 6.3079
Si 4.7462 7.1816 4.8672
Si 5.0386 1.7937 2.5899
H 2.3476 5.8913 2.1803
H 2.8827 4.6945 1.3182
H 4.3880 5.5803 3.2430
H 5.0271 5.1641 0.0629
O 0.8525 7.1931 5.9959
O 0.7665 3.0365 3.3704
O 1.1280 8.8624 7.8099
O 0.9417 1.3362 1.3244
O 1.1744 3.7666 6.1394
O 2.4388 3.6637 0.0683
O 3.1271 9.2443 6.5396
O 3.0259 5.1899 2.1968
O 3.2423 7.1012 5.4070
O 3.4588 3.9579 7.5603
O 3.5161 3.5551 4.9249
O 3.5643 2.2559 2.0815
O 5.0985 8.2000 3.6479
O 5.0149 5.6642 4.0288
```